Entry 1:
For K2ZrO3, a cell relaxed with GGA-PBE gives the calculated PXRD pattern in this record (Cu Kα (weighted mean of Kα1 and Kα2)).

Structure:
Cell: 5.9510 10.6094 7.0747 Å, 90.00 90.00 90.00°
Space group Pnma (No. 62)
Unique sites:
K  0.2354  0.0857  0.1147 (multiplicity 8)
Zr  0.2204  0.7500  0.1591 (multiplicity 4)
O  0.0169  0.1216  0.7296 (multiplicity 8)
O  0.1584  0.7500  0.8906 (multiplicity 4)

Largest 6 diffraction maxima, most intense first, 10° ≤ 2θ ≤ 80°:
hkl 1 3 1, 32.04 deg, I = 1000; hkl 1 0 2, 29.37 deg, I = 983; hkl 0 1 1, 15.05 deg, I = 876; hkl 2 3 1, 41.67 deg, I = 664; hkl 0 3 1, 28.21 deg, I = 438; hkl 0 2 0, 16.71 deg, I = 420

Entry 2:
For Ca2AlSbO5, a cell relaxed with GGA-PBE gives the calculated PXRD pattern in this record (Cu Kα (weighted mean of Kα1 and Kα2)).

Structure:
Cell: 15.9043 6.0256 5.5350 Å, 90.00 106.04 90.00°
Space group Cc (No. 9)
Unique sites:
Ca  0.0000  0.2151  0.0000 (multiplicity 4)
Ca  0.2546  0.2746  0.2432 (multiplicity 4)
Al  0.3742  0.1801  0.8730 (multiplicity 4)
Sb  0.1394  0.2363  0.6339 (multiplicity 4)
O  0.1221  0.4002  0.2889 (multiplicity 4)
O  0.1972  0.0023  0.4694 (multiplicity 4)
O  0.2717  0.3360  0.7812 (multiplicity 4)
O  0.3875  0.0730  0.1945 (multiplicity 4)
O  0.4509  0.3721  0.8287 (multiplicity 4)

Largest 6 diffraction maxima, most intense first, 10° ≤ 2θ ≤ 80°:
hkl 3 1 1, 31.21 deg, I = 1000; hkl 2 0 0, 11.58 deg, I = 962; hkl 5 1 -1, 33.02 deg, I = 764; hkl 2 2 -2, 44.52 deg, I = 521; hkl 0 2 0, 29.65 deg, I = 480; hkl 2 0 -2, 32.44 deg, I = 473

> What is the formula in the second record?

Ca2AlSbO5

> What is the formula in the second record?

Ca2AlSbO5

> What is the formula in the second record?

Ca2AlSbO5